This entry pairs a crystal structure of Ca5Pt7 with its theoretical XRD peak list. Radiation: Cu Ka. Structure: a DFT-relaxed cell (GGA-PBE, Alexandria).
Kinematic intensities with the Lorentz-polarization factor, no thermal factor.

Peak list (10 most intense, 5° ≤ 2θ ≤ 70°, by angle)
2θ/deg, intensity
19.64, 45
20.85, 35
23.27, 24
33.55, 29
34.89, 51
36.23, 100
37.11, 56
40.14, 65
42.43, 30
45.39, 29

Atomic structure:
```
Ca5Pt7
1.0
2.637 -4.743 0.000
2.637 4.743 0.000
-2.201 0.000 9.691
Ca Pt
5 7
Direct
0.000 0.000 0.000
0.325 0.675 0.500
0.432 0.432 0.784
0.568 0.568 0.216
0.675 0.325 0.500
0.000 0.000 0.500
0.092 0.779 0.734
0.221 0.908 0.266
0.284 0.716 0.000
0.716 0.284 0.000
0.779 0.092 0.734
0.908 0.221 0.266
```